(1)
Theoretical powder diffraction line list
Compound: Mg7Cd5
Radiation: λ = 1.5418 Å (Cu Kα)
Structure: the PBE geometry in Alexandria
Kinematic intensities with the Lorentz-polarization factor, no thermal factor.

Lattice parameters (Å, degrees): 4.902 4.902 13.247 101.44 101.44 60.65
Atoms (fractional coordinates):
Mg  0.000  0.000  0.000
Mg  0.191  0.191  0.579
Mg  0.269  0.269  0.828
Mg  0.432  0.432  0.278
Mg  0.568  0.568  0.722
Mg  0.731  0.731  0.172
Mg  0.809  0.809  0.421
Cd  0.112  0.112  0.324
Cd  0.356  0.356  0.059
Cd  0.500  0.500  0.500
Cd  0.644  0.644  0.941
Cd  0.888  0.888  0.676

Principal peaks in the range 10° ≤ 2θ ≤ 80°, in order of rising 2θ:
2theta, I (rel.)
22.82, 359
23.70, 251
26.48, 170
27.74, 273
28.27, 148
36.30, 388
36.66, 1000
36.97, 498
52.52, 170
65.76, 166



(2)
Theoretical powder diffraction line list
Compound: CsMg14Si
Radiation: λ = 1.5418 Å (Cu Kα)
Structure: the PBE geometry in Alexandria
Kinematic intensities with the Lorentz-polarization factor, no thermal factor.

Lattice parameters (Å, degrees): 6.542 6.542 10.641 90.00 90.00 120.00
Atoms (fractional coordinates):
Cs  0.000  0.000  0.000
Mg  0.010  0.505  0.000
Mg  0.168  0.335  0.279
Mg  0.168  0.335  0.721
Mg  0.168  0.832  0.279
Mg  0.168  0.832  0.721
Mg  0.495  0.505  0.000
Mg  0.495  0.990  0.000
Mg  0.508  0.015  0.500
Mg  0.508  0.492  0.500
Mg  0.665  0.832  0.279
Mg  0.665  0.832  0.721
Mg  0.667  0.333  0.244
Mg  0.667  0.333  0.756
Mg  0.985  0.492  0.500
Si  0.000  0.000  0.500

Principal peaks in the range 10° ≤ 2θ ≤ 80°, in order of rising 2θ:
2theta, I (rel.)
15.64, 223
17.73, 259
22.93, 196
31.58, 274
33.69, 233
35.91, 1000
46.85, 171
56.24, 177
61.71, 151
67.19, 174



(3)
Theoretical powder diffraction line list
Compound: MgPaNi4H6
Radiation: λ = 1.5418 Å (Cu Kα)
Structure: the PBE geometry in Alexandria
Kinematic intensities with the Lorentz-polarization factor, no thermal factor.

Lattice parameters (Å, degrees): 4.332 4.332 6.531 90.00 90.00 120.00
Atoms (fractional coordinates):
Mg  0.000  0.000  0.000
Pa  0.000  0.000  0.500
Ni  0.333  0.667  0.188
Ni  0.333  0.667  0.812
Ni  0.667  0.333  0.188
Ni  0.667  0.333  0.812
H  0.000  0.500  0.350
H  0.000  0.500  0.650
H  0.500  0.000  0.350
H  0.500  0.000  0.650
H  0.500  0.500  0.350
H  0.500  0.500  0.650

Principal peaks in the range 10° ≤ 2θ ≤ 80°, in order of rising 2θ:
2theta, I (rel.)
23.71, 152
27.42, 1000
36.48, 931
41.48, 171
41.70, 698
50.62, 216
56.58, 258
60.27, 344
67.60, 164
72.70, 245



(4)
Theoretical powder diffraction line list
Compound: PuUTc4
Radiation: λ = 1.5418 Å (Cu Kα)
Structure: the PBE geometry in Alexandria
Kinematic intensities with the Lorentz-polarization factor, no thermal factor.

Lattice parameters (Å, degrees): 4.629 7.883 2.905 90.00 90.00 90.00
Atoms (fractional coordinates):
Pu  0.000  0.000  0.000
U  0.500  0.500  0.540
Tc  0.000  0.300  0.826
Tc  0.000  0.700  0.826
Tc  0.500  0.209  0.326
Tc  0.500  0.791  0.326

Principal peaks in the range 10° ≤ 2θ ≤ 80°, in order of rising 2θ:
2theta, I (rel.)
22.27, 815
32.86, 492
36.52, 1000
38.91, 627
39.43, 949
43.35, 539
46.61, 403
51.82, 282
62.28, 345
68.90, 330